Theoretical X-ray powder pattern of Dy12NiPt6 for copper Kα, from DFT lattice parameters and positions (PBE).
No peak broadening, texture or thermal motion is included.

Crystal structure
Cell lengths 12.4996, 12.4996, 11.6040 Å; angles 90.00, 90.00, 120.00 degrees
Space group R-3 (No. 148, hexagonal axes)
Unique sites:
Dy  0.0292  0.8125  0.3940 x18
Dy  0.0436  0.8395  0.8864 x18
Ni  0.0000  0.0000  0.0000 x3
Pt  0.0470  0.7816  0.6479 x18

The 10 most intense peaks (2θ from 10° to 80°), low angle first:
2θ = 14.17°, rel. 9.4; 2θ = 23.04°, rel. 49.8; 2θ = 26.66°, rel. 9.1; 2θ = 28.56°, rel. 8.5; 2θ = 31.94°, rel. 17.7; 2θ = 33.61°, rel. 19.9; 2θ = 38.06°, rel. 100.0; 2θ = 44.96°, rel. 21.8; 2θ = 54.92°, rel. 12.5; 2θ = 68.81°, rel. 11.2